The following is a simulated powder diffraction line list of CsFe2Bi2O7. It was derived from a structure optimized by DFT (GGA+U), using a wavelength of 1.5418 Å.
Kinematic intensities with the Lorentz-polarization factor, no thermal factor.

Top 10 peaks for 2θ = 15–90°, by angle:
2θ (°)  Rel. int.
21.81  65
24.06  100
29.95  75
30.37  17
38.77  23
43.18  48
48.59  15
49.75  28
51.44  20
53.17  18

Structure:
Lattice parameters (Å, degrees): 9.477 9.477 9.477 36.70 36.70 36.70
Positions (direct):
Cs1 0.000 0.000 0.000
Fe1 0.430 0.430 0.430
Fe2 0.570 0.570 0.570
Bi1 0.216 0.216 0.216
Bi2 0.784 0.784 0.784
O1 0.078 0.492 0.661
O2 0.339 0.508 0.922
O3 0.492 0.661 0.078
O4 0.500 0.500 0.500
O5 0.508 0.922 0.339
O6 0.661 0.078 0.492
O7 0.922 0.339 0.508